This entry pairs a crystal structure of Sm2PdRu with its theoretical XRD peak list. Radiation: Cu Ka. Structure: a DFT-relaxed cell (GGA-PBE, the Materials Project).
Peak positions follow from Bragg's law for the DFT cell and can differ from measured ones.

Principal peaks in the range 15° ≤ 2θ ≤ 90°, sorted by position:
(hkl), 2θ/deg, intensity
2 0 0, 25.25, 4
2 2 0, 36.01, 100
2 2 2, 44.48, 1
4 0 0, 51.84, 18
4 2 0, 58.51, 2
4 2 2, 64.73, 36
4 4 0, 76.36, 11
6 0 0, 81.93, 1
6 2 0, 87.43, 16

Crystal structure
```
data_Sm2PdRu
_cell_length_a 7.0552
_cell_length_b 7.0552
_cell_length_c 7.0552
_cell_angle_alpha 90.00
_cell_angle_beta 90.00
_cell_angle_gamma 90.00
_space_group_name_H-M_alt 'F m -3 m'
_space_group_IT_number 225
_space_group_name_Hall '-F 4 2 3'
loop_
_atom_site_label
_atom_site_type_symbol
_atom_site_fract_x
_atom_site_fract_y
_atom_site_fract_z
Sm1 Sm 0.2500 0.2500 0.2500
Pd1 Pd 0.0000 0.0000 0.0000
Ru1 Ru 0.0000 0.0000 0.5000
```